Computed powder diffractogram
Compound: Mn2CuSb2Pd
Radiation: copper Kα
Structure: a crystal structure in Alexandria, relaxed with GGA-PBE

Principal peaks in the range 5 to 70 degrees two-theta, by angle:
Position (°2θ)  I_rel
24.97  44
28.91  15
41.34  100
48.90  21
51.23  4
59.90  16
65.92  9
67.86  5

Cell and atoms:
```
6
Lattice="2.184 1.261 7.135 -2.184 1.261 7.135 0.000 -2.521 7.135" Properties=species:S:1:pos:R:3 pbc="T T T"
Mn 0.000 0.000 0.000
Mn 0.000 0.000 10.686
Cu 0.000 0.000 8.021
Sb 0.000 0.000 5.388
Sb 0.000 0.000 16.011
Pd 0.000 0.000 18.720
```

Computed powder diffractogram
Compound: V2Pd7Au2
Radiation: copper Kα
Structure: a crystal structure in Alexandria, relaxed with GGA-PBE

Principal peaks in the range 5 to 70 degrees two-theta, by angle:
Position (°2θ)  I_rel
14.93  12
30.48  22
34.29  21
38.92  45
40.65  100
40.84  53
43.26  21
47.91  12

Cell and atoms:
```
11
Lattice="-2.210 5.935 3.373 2.210 -5.935 3.373 2.210 5.935 -3.373" Properties=species:S:1:pos:R:3 pbc="T T T"
V 0.000 0.000 0.000
V 0.000 5.935 1.147
Pd 2.210 1.486 -0.124
Pd 2.210 -1.632 2.697
Pd 0.000 0.000 2.609
Pd 2.210 1.632 2.697
Pd 2.210 4.272 1.394
Pd 0.000 1.663 4.767
Pd 0.000 4.448 3.249
Au 0.000 2.447 1.271
Au 0.000 9.422 1.271
```

Computed powder diffractogram
Compound: Pm6In6Ge
Radiation: copper Kα
Structure: a crystal structure in Alexandria, relaxed with GGA-PBE

Principal peaks in the range 5 to 70 degrees two-theta, by angle:
Position (°2θ)  I_rel
27.51  37
31.88  29
32.25  36
33.33  37
36.09  100
43.75  18
56.80  25
67.47  29

Cell and atoms:
```
13
Lattice="6.484 0.000 0.000 -3.242 5.615 0.000 0.000 0.000 10.752" Properties=species:S:1:pos:R:3 pbc="T T T"
Pm 0.000 0.000 2.425
Pm 0.000 0.000 8.327
Pm 0.000 3.743 0.000
Pm 0.000 3.743 5.376
Pm 3.242 1.872 0.000
Pm 3.242 1.872 5.376
In -1.621 2.808 2.653
In -1.621 2.808 8.099
In 3.242 0.000 2.653
In 3.242 0.000 8.099
In 1.621 2.808 2.653
In 1.621 2.808 8.099
Ge 0.000 0.000 5.376
```

Computed powder diffractogram
Compound: KHfTlS3
Radiation: copper Kα
Structure: a crystal structure in Alexandria, relaxed with GGA-PBE

Principal peaks in the range 5 to 70 degrees two-theta, by angle:
Position (°2θ)  I_rel
11.74  73
17.06  23
20.75  23
23.92  100
26.71  77
27.25  31
32.35  36
40.25  23

Cell and atoms:
```
12
Lattice="3.808 -7.540 0.000 3.808 7.540 0.000 -1.430 0.000 6.546" Properties=species:S:1:pos:R:3 pbc="T T T"
K 2.735 4.099 4.910
K 3.450 -4.099 1.637
Hf 3.450 6.785 1.637
Hf 2.735 -6.785 4.910
Tl 3.450 1.315 1.637
Tl 2.735 -1.315 4.910
S 0.898 0.594 3.277
S 3.450 4.406 1.637
S 1.614 -0.594 0.004
S 4.572 0.594 6.543
S 2.735 -4.406 4.910
S 5.287 -0.594 3.269
```

Computed powder diffractogram
Compound: CaGa2SiAu5
Radiation: copper Kα
Structure: a crystal structure in Alexandria, relaxed with GGA-PBE

Principal peaks in the range 5 to 70 degrees two-theta, by angle:
Position (°2θ)  I_rel
23.67  22
27.17  100
35.88  81
37.31  48
40.28  72
40.74  44
56.06  55
60.36  26

Cell and atoms:
```
9
Lattice="-2.410 3.001 6.721 2.410 -3.001 6.721 2.410 3.001 -6.721" Properties=species:S:1:pos:R:3 pbc="T T T"
Ca 0.000 0.000 0.000
Ga 2.410 0.000 4.118
Ga 0.000 3.001 2.603
Si 0.000 0.000 6.721
Au 2.410 1.439 -1.977
Au 2.410 1.439 1.977
Au 0.000 3.001 0.000
Au 0.000 1.561 4.744
Au 0.000 1.561 8.698
```